# 1
This entry pairs a crystal structure of Y2Cr3O9 with its theoretical X-ray powder pattern. Radiation: Cu Kα, 1.54184 Å. Structure: a DFT-relaxed cell (PBE+U, Alexandria).

Largest 6 diffraction maxima, sorted by position, 2θ = 5–70°:
Position (°2θ)  d (Å)  I_rel  (hkl)
7.66  11.535  46  0 0 1
15.36  5.768  39  0 0 2
28.21  3.164  47  1 0 2
33.22  2.697  100  1 0 3
33.49  2.676  57  1 1 0
48.09  1.892  52  2 0 0

Atomic structure:
Cell lengths 3.7840, 3.7840, 11.5352 Å; angles 90.00, 90.00, 90.00 degrees
Space group P4/mmm (No. 123)
Unique sites:
Y  0.0000  0.0000  0.1901 x2
Cr  0.5000  0.5000  0.0000 x1
Cr  0.5000  0.5000  0.3470 x2
O  0.0000  0.5000  0.0000 x2
O  0.0000  0.5000  0.3137 x4
O  0.5000  0.5000  0.1676 x2
O  0.5000  0.5000  0.5000 x1

=====

# 2
This entry pairs a crystal structure of YCr2O4 with its theoretical X-ray powder pattern. Radiation: Cu Kα, 1.54184 Å. Structure: a DFT-relaxed cell (PBE+U, Alexandria).

Largest 6 diffraction maxima, sorted by position, 2θ = 5–70°:
Position (°2θ)  d (Å)  I_rel  (hkl)
28.21  3.163  30  1 1 2
30.97  2.888  38  1 0 3
35.92  2.500  100  2 1 1
48.12  1.891  27  1 0 5
53.42  1.715  18  1 3 2
58.35  1.581  35  2 2 4

Atomic structure:
Cell lengths 5.7733, 5.7733, 10.0064 Å; angles 90.00, 90.00, 90.00 degrees
Space group I4_1/a (No. 88, origin choice 2)
Unique sites:
Y  0.0000  0.2500  0.1250 x4
Cr  0.0000  0.0000  0.5000 x8
O  0.1411  0.0500  0.3197 x16

=====

# 3
This entry pairs a crystal structure of YCr2O with its theoretical X-ray powder pattern. Radiation: Cu Kα, 1.54184 Å. Structure: a DFT-relaxed cell (PBE+U, Alexandria).

Largest 6 diffraction maxima, sorted by position, 2θ = 5–70°:
Position (°2θ)  d (Å)  I_rel  (hkl)
28.25  3.159  80  2 2 0
33.26  2.694  100  3 1 1
34.78  2.579  30  2 2 2
50.01  1.824  30  4 2 2
53.27  1.720  33  5 1 1
58.43  1.580  36  4 4 0

Atomic structure:
Cell lengths 8.9353, 8.9353, 8.9353 Å; angles 90.00, 90.00, 90.00 degrees
Space group Fd-3m (No. 227, origin choice 2)
Unique sites:
Y  0.1250  0.1250  0.1250 x8
Cr  0.0000  0.0000  0.5000 x16
O  0.1250  0.1250  0.6250 x8

=====

# 4
This entry pairs a crystal structure of YCr2O4 with its theoretical X-ray powder pattern. Radiation: Cu Kα, 1.54184 Å. Structure: a DFT-relaxed cell (PBE+U, Alexandria).

Largest 6 diffraction maxima, sorted by position, 2θ = 5–70°:
Position (°2θ)  d (Å)  I_rel  (hkl)
27.90  3.197  56  1 1 0
28.41  3.142  51  1 0 4
32.87  2.725  56  0 2 1
33.09  2.707  100  1 1 3
33.53  2.673  54  0 1 5
57.66  1.599  44  2 2 0

Atomic structure:
Cell lengths 6.3949, 6.3949, 15.2593 Å; angles 90.00, 90.00, 120.00 degrees
Space group R-3m (No. 166, hexagonal axes)
Unique sites:
Y  0.0000  0.0000  0.1209 x6
Cr  0.0000  0.0000  0.5000 x3
Cr  0.0000  0.5000  0.0000 x9
O  0.0000  0.0000  0.2582 x6
O  0.0446  0.5223  0.2543 x18

=====

# 5
This entry pairs a crystal structure of Y2Cr3O12 with its theoretical X-ray powder pattern. Radiation: Cu Kα, 1.54184 Å. Structure: a DFT-relaxed cell (PBE+U, Alexandria).

Largest 6 diffraction maxima, sorted by position, 2θ = 5–70°:
Position (°2θ)  d (Å)  I_rel  (hkl)
11.52  7.684  18  0 0 4
24.59  3.620  100  0 2 6
33.47  2.677  58  2 2 0
49.25  1.850  50  2 4 6
50.42  1.810  15  0 4 12
61.89  1.499  15  2 6 0

Atomic structure:
Cell lengths 6.2815, 10.2309, 30.7367 Å; angles 90.00, 90.00, 90.00 degrees
Space group Fddd (No. 70, origin choice 2)
Unique sites:
Y  0.1250  0.1250  0.2951 x16
Cr  0.1250  0.1250  0.1250 x8
Cr  0.1250  0.1250  0.4614 x16
O  0.0248  0.2804  0.3434 x32
O  0.0364  0.2872  0.6814 x32
O  0.0458  0.2831  0.0088 x32

=====

# 6
This entry pairs a crystal structure of YCr2O8 with its theoretical X-ray powder pattern. Radiation: Cu Kα, 1.54184 Å. Structure: a DFT-relaxed cell (PBE+U, Alexandria).

Largest 6 diffraction maxima, sorted by position, 2θ = 5–70°:
Position (°2θ)  d (Å)  I_rel  (hkl)
20.47  4.338  61  1 0 1
30.23  2.956  22  1 0 3
31.19  2.868  100  1 1 2
50.35  1.812  56  2 0 4
55.42  1.658  22  2 2 0
64.98  1.435  24  3 1 2

Atomic structure:
Cell lengths 4.6895, 4.6895, 11.4244 Å; angles 90.00, 90.00, 90.00 degrees
Space group I4/mmm (No. 139)
Unique sites:
Y  0.0000  0.0000  0.0000 x2
Cr  0.0000  0.5000  0.2500 x4
O  0.2497  0.2497  0.1451 x16

=====

# 7
This entry pairs a crystal structure of ZnCr5O7 with its theoretical X-ray powder pattern. Radiation: Cu Kα, 1.54184 Å. Structure: a DFT-relaxed cell (PBE+U, Alexandria).

Largest 6 diffraction maxima, sorted by position, 2θ = 5–70°:
Position (°2θ)  d (Å)  I_rel  (hkl)
34.06  2.632  100  0 2 6
34.47  2.602  53  1 1 3
41.32  2.185  72  1 3 2
42.81  2.112  71  1 3 3
55.10  1.667  28  1 1 9
60.28  1.535  28  0 0 12

Atomic structure:
Cell lengths 2.9926, 10.2320, 18.4201 Å; angles 90.00, 90.00, 90.00 degrees
Space group Cmcm (No. 63)
Unique sites:
Zn  0.0000  0.2090  0.2500 x4
Cr  0.0000  0.0000  0.0000 x4
Cr  0.0000  0.2723  0.5778 x8
Cr  0.0000  0.4620  0.1555 x8
O  0.0000  0.0710  0.1041 x8
O  0.0000  0.1743  0.6733 x8
O  0.0000  0.3689  0.0236 x8
O  0.0000  0.4293  0.7500 x4

=====

# 8
This entry pairs a crystal structure of ZrCrO4 with its theoretical X-ray powder pattern. Radiation: Cu Kα, 1.54184 Å. Structure: a DFT-relaxed cell (PBE+U, Alexandria).

Largest 6 diffraction maxima, sorted by position, 2θ = 5–70°:
Position (°2θ)  d (Å)  I_rel  (hkl)
26.93  3.311  45  1 1 1
27.03  3.299  100  1 -1 1
27.13  3.286  56  1 1 -1
29.29  3.049  40  1 0 3
29.58  3.020  36  1 0 -3
53.32  1.718  38  2 2 0

Atomic structure:
Cell lengths 4.7842, 4.9391, 11.7749 Å; angles 89.44, 89.44, 89.99 degrees
Space group P1 (No. 1)
Unique sites:
Zr  0.0000  0.0000  0.0000 x1
Zr  0.0091  0.5231  0.6690 x1
Zr  0.5120  0.9851  0.5002 x1
Zr  0.5262  0.4973  0.1690 x1
Cr  0.0189  0.4894  0.4048 x1
Cr  0.0206  0.9952  0.2642 x1
Cr  0.5010  0.5042  0.9045 x1
Cr  0.5149  0.0197  0.7645 x1
O  0.2305  0.3435  0.5193 x1
O  0.2319  0.8479  0.1491 x1
O  0.2380  0.8185  0.3874 x1
O  0.2389  0.3200  0.2800 x1
O  0.2793  0.3206  0.7831 x1
O  0.2878  0.8306  0.8877 x1
O  0.2879  0.8464  0.6463 x1
O  0.2928  0.3513  0.0202 x1
O  0.7282  0.1662  0.6489 x1
O  0.7305  0.6739  0.0229 x1
O  0.7306  0.6911  0.7821 x1
O  0.7388  0.2018  0.8853 x1
O  0.7869  0.1890  0.3855 x1
O  0.7880  0.6914  0.2847 x1
O  0.7897  0.6632  0.5239 x1
O  0.7936  0.1707  0.1452 x1